HoGa6Pd12: calculated powder XRD pattern (CuKα), based on a structure optimized by DFT (GGA-PBE).
No peak broadening, texture or thermal motion is included.

Crystal structure
Cell: 11.5383 11.5383 8.3477 Å, 90.00 90.00 120.00°
Space group R-3m (No. 166, hexagonal axes)
Symmetry-distinct sites (fractional):
Ho: 0.0000 0.0000 0.0000 [3 per cell]
Ga: 0.0432 0.5216 0.2522 [18 per cell]
Pd: 0.0000 0.3792 0.5000 [18 per cell]
Pd: 0.0818 0.1637 0.3187 [18 per cell]

Principal peaks in the range 2θ = 10–90°, in order of rising 2θ:
2θ = 34.1°, rel. 100, hkl 1 3 1; 2θ = 35.8°, rel. 63, hkl 1 1 3; 2θ = 39.0°, rel. 23, hkl 3 1 2; 2θ = 40.8°, rel. 28, hkl 3 2 1; 2θ = 42.3°, rel. 34, hkl 0 3 3; 2θ = 45.1°, rel. 24, hkl 2 3 2; 2θ = 47.2°, rel. 41, hkl 0 2 4; 2θ = 50.6°, rel. 51, hkl 5 0 2; 2θ = 64.6°, rel. 18, hkl 0 5 4; 2θ = 65.2°, rel. 20, hkl 3 1 5